Record 1
For Pm8Ho2Er3, the GGA-PBE geometry in Alexandria gives the calculated powder XRD pattern in this record (Cu Kα (λ = 1.5418 Å)).

Structural model:
```
13
Lattice="10.365 -5.782 0.000 10.365 5.782 0.000 -0.645 0.000 3.610" Properties=species:S:1:pos:R:3 pbc="T T T"
Pm 1.530 0.000 0.277
Pm 6.319 2.908 2.992
Pm 7.418 0.000 1.331
Pm 13.766 2.908 0.618
Pm 6.319 -2.908 2.992
Pm 12.667 0.000 2.279
Pm 13.766 -2.908 0.618
Pm 18.555 0.000 3.333
Ho 4.152 0.000 2.616
Ho 15.933 0.000 0.994
Er 10.043 3.026 1.805
Er 10.365 0.000 0.000
Er 10.043 -3.026 1.805
```

Top 12 peaks for 2θ from 5° to 70°, by angle:
- 30.49 deg, 2.932 Å, I 40
- 30.97 deg, 2.888 Å, I 100
- 31.71 deg, 2.822 Å, I 90
- 31.76 deg, 2.817 Å, I 64
- 38.19 deg, 2.356 Å, I 18
- 38.73 deg, 2.325 Å, I 19
- 47.12 deg, 1.929 Å, I 16
- 49.74 deg, 1.833 Å, I 18
- 49.92 deg, 1.827 Å, I 16
- 55.53 deg, 1.655 Å, I 30
- 57.44 deg, 1.604 Å, I 18
- 59.72 deg, 1.548 Å, I 18

---

Record 2
For Pr2Dy2Ho7, the GGA-PBE geometry in Alexandria gives the calculated powder XRD pattern in this record (Cu Kα (λ = 1.5418 Å)).

Structural model:
```
11
Lattice="5.617 -5.772 0.000 5.617 5.772 0.000 -2.461 0.000 5.561" Properties=species:S:1:pos:R:3 pbc="T T T"
Pr 0.298 0.000 1.711
Pr 8.476 0.000 3.850
Dy 5.617 2.453 0.000
Dy 5.617 -2.453 0.000
Ho 2.872 2.745 1.786
Ho 0.781 0.000 5.129
Ho 5.902 2.745 3.775
Ho 4.387 0.000 2.781
Ho 2.872 -2.745 1.786
Ho 7.993 0.000 0.433
Ho 5.902 -2.745 3.775
```

Top 12 peaks for 2θ from 5° to 70°, by angle:
- 25.60 deg, 3.479 Å, I 22
- 29.71 deg, 3.007 Å, I 13
- 30.71 deg, 2.911 Å, I 27
- 30.99 deg, 2.886 Å, I 48
- 31.93 deg, 2.803 Å, I 27
- 32.10 deg, 2.789 Å, I 100
- 33.60 deg, 2.667 Å, I 39
- 33.85 deg, 2.648 Å, I 30
- 35.61 deg, 2.521 Å, I 13
- 45.09 deg, 2.011 Å, I 16
- 49.78 deg, 1.832 Å, I 13
- 55.82 deg, 1.647 Å, I 14

---

Record 3
For CsGa2Hg, the GGA-PBE geometry in Alexandria gives the calculated powder XRD pattern in this record (Cu Kα (λ = 1.5418 Å)).

Structural model:
```
8
Lattice="-2.689 2.689 10.358 2.689 -2.689 10.358 2.689 2.689 -10.358" Properties=species:S:1:pos:R:3 pbc="T T T"
Cs 2.689 1.345 2.589
Cs 0.000 1.345 7.768
Ga 0.000 0.000 0.000
Ga 1.345 1.345 -5.179
Ga 1.345 -1.345 5.179
Ga 0.000 2.689 0.000
Hg 2.689 -1.345 7.768
Hg 0.000 4.034 2.589
```

Top 12 peaks for 2θ from 5° to 70°, by angle:
- 17.06 deg, 5.196 Å, I 51
- 24.94 deg, 3.570 Å, I 100
- 33.32 deg, 2.689 Å, I 24
- 34.45 deg, 2.603 Å, I 9
- 34.63 deg, 2.590 Å, I 29
- 35.10 deg, 2.556 Å, I 42
- 37.69 deg, 2.387 Å, I 35
- 48.82 deg, 1.865 Å, I 17
- 50.15 deg, 1.819 Å, I 15
- 51.17 deg, 1.785 Å, I 32
- 54.69 deg, 1.678 Å, I 24
- 60.70 deg, 1.526 Å, I 17

---

Record 4
For MgAl2H4Pb2O4F6, the GGA-PBE geometry in Alexandria gives the calculated powder XRD pattern in this record (Cu Kα (λ = 1.5418 Å)).

Structural model:
```
19
Lattice="5.083 0.000 0.000 -2.450 6.995 0.000 -2.426 -2.473 6.597" Properties=species:S:1:pos:R:3 pbc="T T T"
Mg 0.000 0.000 0.000
Al -0.509 -0.235 6.177
Al 0.716 4.757 0.420
H -2.917 0.249 6.175
H 0.590 2.075 1.552
H -0.382 2.448 5.045
H 3.124 4.274 0.422
Pb -2.126 3.931 3.332
Pb 2.334 0.592 3.265
O -2.141 0.796 5.918
O 1.074 1.357 1.087
O -0.867 3.166 5.510
O 2.348 3.727 0.679
F -1.240 -1.620 5.205
F -0.887 5.600 0.190
F 0.069 3.884 1.911
F 0.138 0.639 4.687
F 1.095 -1.077 6.407
F 1.448 6.143 1.393
```

Top 12 peaks for 2θ from 5° to 70°, by angle:
- 13.42 deg, 6.597 Å, I 84
- 19.08 deg, 4.651 Å, I 100
- 20.95 deg, 4.239 Å, I 84
- 25.61 deg, 3.478 Å, I 76
- 25.77 deg, 3.457 Å, I 97
- 27.03 deg, 3.299 Å, I 62
- 27.23 deg, 3.275 Å, I 66
- 29.13 deg, 3.066 Å, I 56
- 29.16 deg, 3.063 Å, I 53
- 29.78 deg, 3.000 Å, I 45
- 31.00 deg, 2.885 Å, I 41
- 37.68 deg, 2.387 Å, I 38